Simulated powder XRD pattern
Compound: Nd10Y4Th
Radiation: a wavelength of 1.5418 Å
Structure: a crystal structure in Alexandria, relaxed with GGA-PBE
Intensities are scaled so that the largest is 100.

Cell and atoms:
a b c (Å): 10.058 10.058 11.006
angles (deg): 90.00 90.00 90.00
Space group I4/m (No. 87)
Symmetry-distinct sites (fractional):
Nd 0.000 0.500 0.250 [4 per cell]
Nd 0.119 0.776 0.172 [16 per cell]
Y 0.059 0.721 0.500 [8 per cell]
Th 0.000 0.000 0.000 [2 per cell]

Most intense lines, 2θ = 10–80°, in order of falling intensity:
2theta, I_rel, index
31.47, 100, 1 2 3
28.05, 75, 1 3 0
32.52, 57, 1 3 2
11.92, 51, 1 0 1
40.09, 38, 4 2 0
58.03, 27, 3 1 6
40.63, 25, 3 2 3
20.41, 20, 1 1 2
68.09, 19, 7 1 2
33.13, 19, 3 2 1
25.85, 16, 1 0 3
36.30, 16, 3 0 3

Simulated powder XRD pattern
Compound: NdTl4
Radiation: a wavelength of 1.5418 Å
Structure: a crystal structure in Alexandria, relaxed with GGA-PBE
Intensities are scaled so that the largest is 100.

Cell and atoms:
a b c (Å): 5.139 6.772 16.771
angles (deg): 90.00 90.00 90.00
Space group Imma (No. 74)
Symmetry-distinct sites (fractional):
Nd 0.000 0.250 0.089 [4 per cell]
Tl 0.000 0.000 0.500 [4 per cell]
Tl 0.000 0.009 0.303 [8 per cell]
Tl 0.000 0.250 0.888 [4 per cell]

Most intense lines, 2θ = 10–80°, in order of falling intensity:
2theta, I_rel, index
31.86, 100, 1 0 5
32.10, 86, 1 2 1
34.92, 41, 2 0 0
34.03, 32, 0 2 4
64.24, 27, 1 4 5
49.56, 23, 2 2 4
41.91, 20, 0 2 6
55.66, 18, 2 2 6
60.70, 16, 3 0 5
60.85, 14, 3 2 1
66.09, 13, 2 4 0
54.18, 12, 0 4 0

Simulated powder XRD pattern
Compound: Nd8Tl
Radiation: a wavelength of 1.5418 Å
Structure: a crystal structure in Alexandria, relaxed with GGA-PBE
Intensities are scaled so that the largest is 100.

Cell and atoms:
a b c (Å): 10.984 10.984 5.046
angles (deg): 90.00 90.00 90.00
Space group I4/mmm (No. 139)
Symmetry-distinct sites (fractional):
Nd 0.000 0.334 0.000 [8 per cell]
Nd 0.161 0.161 0.500 [8 per cell]
Tl 0.000 0.000 0.000 [2 per cell]

Most intense lines, 2θ = 10–80°, in order of falling intensity:
2theta, I_rel, index
30.16, 100, 3 0 1
34.65, 34, 3 3 0
59.34, 29, 6 3 1
50.51, 24, 3 3 2
35.58, 16, 0 0 2
60.58, 14, 3 0 3
62.70, 12, 6 0 2
49.81, 12, 6 0 0
73.11, 4, 6 6 0
75.33, 2, 0 0 4
11.39, 1, 1 1 0
16.14, 1, 2 0 0

Simulated powder XRD pattern
Compound: Nd7Tl3
Radiation: a wavelength of 1.5418 Å
Structure: a crystal structure in Alexandria, relaxed with GGA-PBE
Intensities are scaled so that the largest is 100.

Cell and atoms:
a b c (Å): 18.195 5.326 6.991
angles (deg): 90.00 112.57 90.00
Space group C2/m (No. 12)
Symmetry-distinct sites (fractional):
Nd 0.000 0.000 0.000 [2 per cell]
Nd 0.102 0.500 0.363 [4 per cell]
Nd 0.102 0.500 0.841 [4 per cell]
Nd 0.204 0.000 0.705 [4 per cell]
Tl 0.000 0.000 0.500 [2 per cell]
Tl 0.194 0.000 0.194 [4 per cell]

Most intense lines, 2θ = 10–80°, in order of falling intensity:
2theta, I_rel, index
31.48, 100, 5 1 0
31.06, 85, 3 1 -2
33.65, 42, 0 2 0
33.35, 34, 2 0 2
62.37, 28, 1 1 4
48.11, 24, 2 2 2
58.60, 21, 3 3 -2
41.31, 20, 8 0 -2
58.83, 17, 5 3 0
63.69, 13, 4 2 -4
52.35, 12, 4 0 -4
65.71, 12, 10 2 0

Simulated powder XRD pattern
Compound: Nd3Tl5
Radiation: a wavelength of 1.5418 Å
Structure: a crystal structure in Alexandria, relaxed with GGA-PBE
Intensities are scaled so that the largest is 100.

Cell and atoms:
a b c (Å): 10.341 8.378 10.730
angles (deg): 90.00 90.00 90.00
Space group Cmcm (No. 63)
Symmetry-distinct sites (fractional):
Nd 0.000 0.121 0.250 [4 per cell]
Nd 0.204 0.500 0.000 [8 per cell]
Tl 0.000 0.194 0.541 [8 per cell]
Tl 0.000 0.494 0.750 [4 per cell]
Tl 0.218 0.209 0.750 [8 per cell]

Most intense lines, 2θ = 10–80°, in order of falling intensity:
2theta, I_rel, index
32.17, 100, 2 2 2
33.40, 32, 0 0 4
33.23, 26, 1 3 0
34.70, 25, 4 0 0
32.68, 22, 3 1 2
37.80, 20, 3 1 3
37.36, 17, 2 2 3
64.20, 17, 3 5 2
55.27, 14, 5 3 0
48.93, 13, 4 0 4
66.14, 12, 5 3 4
47.83, 12, 1 3 4

Simulated powder XRD pattern
Compound: Nd2Tm2Tl
Radiation: a wavelength of 1.5418 Å
Structure: a crystal structure in Alexandria, relaxed with GGA-PBE
Intensities are scaled so that the largest is 100.

Cell and atoms:
a b c (Å): 8.570 9.483 8.578
angles (deg): 90.00 116.55 90.00
Space group C2/m (No. 12)
Symmetry-distinct sites (fractional):
Nd 0.081 0.187 0.211 [8 per cell]
Tm 0.155 0.500 0.938 [4 per cell]
Tm 0.224 0.000 0.611 [4 per cell]
Tl 0.000 0.330 0.500 [4 per cell]

Most intense lines, 2θ = 10–80°, in order of falling intensity:
2theta, I_rel, index
30.83, 100, 1 3 -1
32.24, 91, 2 0 -3
31.83, 88, 1 1 2
29.97, 87, 2 2 0
32.99, 79, 3 1 -1
35.29, 70, 1 3 -2
35.91, 37, 2 2 1
57.83, 29, 1 5 2
58.56, 29, 3 5 -1
40.05, 26, 0 2 3
62.28, 24, 3 3 -5
54.27, 23, 4 0 1

Simulated powder XRD pattern
Compound: Nd7Tm12Tl
Radiation: a wavelength of 1.5418 Å
Structure: a crystal structure in Alexandria, relaxed with GGA-PBE
Intensities are scaled so that the largest is 100.

Cell and atoms:
a b c (Å): 8.701 8.705 8.710
angles (deg): 89.31 89.45 89.37
Space group P-1 (No. 2)
Symmetry-distinct sites (fractional):
Nd 0.000 0.000 0.000 [1 per cell]
Nd 0.123 0.716 0.270 [2 per cell]
Nd 0.269 0.122 0.717 [2 per cell]
Nd 0.283 0.731 0.878 [2 per cell]
Tm 0.039 0.160 0.378 [2 per cell]
Tm 0.160 0.379 0.039 [2 per cell]
Tm 0.165 0.494 0.610 [2 per cell]
Tm 0.378 0.039 0.159 [2 per cell]
Tm 0.391 0.835 0.506 [2 per cell]
Tm 0.495 0.609 0.165 [2 per cell]
Tl 0.500 0.500 0.500 [1 per cell]

Most intense lines, 2θ = 10–80°, in order of falling intensity:
2theta, I_rel, index
30.97, 100, 1 -2 2
32.42, 69, 1 0 3
32.64, 53, 1 0 -3
30.82, 28, 2 -1 2
33.92, 27, 1 3 1
30.52, 26, 2 2 1
53.24, 14, 1 4 3
53.56, 14, -1 3 4
53.96, 14, -4 1 3
38.88, 13, -2 1 3
22.75, 13, 2 0 1
46.88, 10, 2 -4 0

Simulated powder XRD pattern
Compound: Nd3Tm4Tl2
Radiation: a wavelength of 1.5418 Å
Structure: a crystal structure in Alexandria, relaxed with GGA-PBE
Intensities are scaled so that the largest is 100.

Cell and atoms:
a b c (Å): 14.120 12.589 6.418
angles (deg): 90.00 100.01 90.00
Space group C2/c (No. 15)
Symmetry-distinct sites (fractional):
Nd 0.000 0.032 0.250 [4 per cell]
Nd 0.106 0.435 0.083 [8 per cell]
Tm 0.086 0.275 0.575 [8 per cell]
Tm 0.180 0.166 0.087 [8 per cell]
Tl 0.214 0.086 0.565 [8 per cell]

Most intense lines, 2θ = 10–80°, in order of falling intensity:
2theta, I_rel, index
33.58, 100, 3 3 1
33.38, 91, 2 4 -1
32.98, 81, 5 1 0
33.11, 72, 2 0 2
32.18, 67, 3 1 -2
30.51, 52, 3 3 -1
52.24, 47, 0 4 3
28.70, 35, 3 3 0
35.27, 34, 2 4 1
31.20, 33, 2 4 0
28.24, 29, 0 0 2
25.67, 23, 1 3 -1